# 1
Structure and theoretical powder X-ray diffraction pattern of Li2CaAgO4 (a cell relaxed with GGA-PBE; CuKα).

Most intense lines, 10 to 90 degrees two-theta, low angle first:
| two_theta | I (rel.) |
| --- | --- |
| 16.88 | 1000 |
| 32.00 | 305 |
| 33.08 | 133 |
| 33.73 | 147 |
| 34.14 | 145 |
| 34.57 | 159 |
| 38.14 | 267 |
| 39.99 | 235 |
| 41.46 | 215 |
| 57.59 | 136 |

Structural model:
Unit cell a=6.270 b=6.270 c=6.466 alpha=119.45 beta=119.45 gamma=88.02
Element x y z (fractional)
1 Li 0.000 0.000 0.000
2 Li 0.000 0.000 0.500
3 Li 0.000 0.500 0.000
4 Li 0.500 0.000 0.500
5 Ca 0.000 0.500 0.500
6 Ca 0.500 0.000 0.000
7 Ag 0.500 0.500 0.000
8 Ag 0.500 0.500 0.500
9 O 0.232 0.258 0.944
10 O 0.255 0.729 0.995
11 O 0.258 0.232 0.444
12 O 0.271 0.745 0.505
13 O 0.729 0.255 0.495
14 O 0.742 0.768 0.556
15 O 0.745 0.271 0.005
16 O 0.768 0.742 0.056

=====

# 2
Structure and theoretical powder X-ray diffraction pattern of LiCaAgSb (a cell relaxed with GGA-PBE; CuKα).

Most intense lines, 10 to 90 degrees two-theta, low angle first:
| two_theta | I (rel.) |
| --- | --- |
| 21.43 | 47 |
| 24.80 | 549 |
| 35.35 | 1000 |
| 43.67 | 162 |
| 50.86 | 170 |
| 57.39 | 212 |
| 63.46 | 339 |
| 74.79 | 104 |
| 80.20 | 101 |
| 85.53 | 147 |

Structural model:
Unit cell a=5.078 b=5.078 c=5.078 alpha=60.00 beta=60.00 gamma=60.00
Element x y z (fractional)
1 Li 0.000 0.000 0.000
2 Ca 0.500 0.500 0.500
3 Ag 0.250 0.250 0.250
4 Sb 0.750 0.750 0.750

=====

# 3
Structure and theoretical powder X-ray diffraction pattern of Sr2LiCaAg (a cell relaxed with GGA-PBE; CuKα).

Most intense lines, 10 to 90 degrees two-theta, low angle first:
| two_theta | I (rel.) |
| --- | --- |
| 14.41 | 900 |
| 15.13 | 1000 |
| 25.52 | 258 |
| 29.04 | 839 |
| 30.53 | 368 |
| 32.90 | 619 |
| 41.54 | 310 |
| 42.64 | 575 |
| 44.45 | 266 |
| 52.42 | 307 |

Structural model:
Unit cell a=6.149 b=6.149 c=5.856 alpha=90.00 beta=90.00 gamma=90.00
Element x y z (fractional)
1 Sr 0.000 0.500 0.000
2 Sr 0.500 0.000 0.000
3 Li 0.000 0.000 0.500
4 Ca 0.500 0.500 0.500
5 Ag 0.500 0.500 0.000